Record 1
Theoretical powder X-ray diffraction pattern of Hg for Cu Kα (λ = 1.5418 Å), from a DFT-relaxed cell (GGA-PBE, the Materials Project).
Neutral-atom scattering factors, no anomalous dispersion.

Structural model:
Cell: 4.2486 5.3452 3.5831 Å, 90.00 126.18 90.00°
Space group C2/m (No. 12)
One atom of each set of equivalent atoms:
1 Hg 0.0000 0.0000 0.0000 (multiplicity 2)

Largest 6 diffraction maxima, in order of rising 2θ, 2θ = 5–70°:
d (Å), I/Imax
2.888, 100
2.880, 66
2.673, 27
2.124, 14
1.963, 23
1.581, 23



Record 2
Theoretical powder X-ray diffraction pattern of Ba4Pt3O9 for Cu Kα (λ = 1.5418 Å), from a DFT-relaxed cell (GGA-PBE, the Materials Project).
Neutral-atom scattering factors, no anomalous dispersion.

Structural model:
Cell: 8.7571 10.1992 10.2803 Å, 60.36 89.94 89.76°
Space group P1 (No. 1)
One atom of each set of equivalent atoms:
1 Ba 0.0000 0.0000 0.0000 (multiplicity 1)
2 Ba 0.9998 0.2809 0.3366 (multiplicity 1)
3 Ba 0.0017 0.6161 0.6515 (multiplicity 1)
4 Ba 0.2439 0.6430 0.3085 (multiplicity 1)
5 Ba 0.2472 0.9376 0.6665 (multiplicity 1)
6 Ba 0.2494 0.2999 0.0155 (multiplicity 1)
7 Ba 0.4980 0.2957 0.3247 (multiplicity 1)
8 Ba 0.4994 0.6200 0.6729 (multiplicity 1)
9 Ba 0.4987 0.9824 0.0003 (multiplicity 1)
10 Ba 0.7499 0.3088 0.9973 (multiplicity 1)
11 Ba 0.7520 0.5978 0.3327 (multiplicity 1)
12 Ba 0.7515 0.9609 0.6891 (multiplicity 1)
13 Pt 0.9997 0.7060 0.9274 (multiplicity 1)
14 Pt 0.1014 0.9591 0.3341 (multiplicity 1)
15 Pt 0.2345 0.2923 0.5947 (multiplicity 1)
16 Pt 0.3381 0.6303 0.0050 (multiplicity 1)
17 Pt 0.4250 0.9598 0.3327 (multiplicity 1)
18 Pt 0.5730 0.2950 0.6727 (multiplicity 1)
19 Pt 0.6613 0.6279 0.0057 (multiplicity 1)
20 Pt 0.7638 0.8806 0.4093 (multiplicity 1)
21 Pt 0.8966 0.2945 0.6704 (multiplicity 1)
22 O 0.0146 0.3096 0.8334 (multiplicity 1)
23 O 0.0468 0.4391 0.5093 (multiplicity 1)
24 O 0.0524 0.1425 0.6728 (multiplicity 1)
25 O 0.1815 0.7855 0.9976 (multiplicity 1)
26 O 0.1846 0.6290 0.8545 (multiplicity 1)
27 O 0.2243 0.4588 0.1774 (multiplicity 1)
28 O 0.2618 0.0989 0.3476 (multiplicity 1)
29 O 0.2621 0.9654 0.1806 (multiplicity 1)
30 O 0.2630 0.7936 0.4864 (multiplicity 1)
31 O 0.4155 0.1441 0.6806 (multiplicity 1)
32 O 0.4191 0.4391 0.5197 (multiplicity 1)
33 O 0.4596 0.3097 0.8343 (multiplicity 1)
34 O 0.4990 0.4868 0.9998 (multiplicity 1)
35 O 0.4994 0.6348 0.1497 (multiplicity 1)
36 O 0.5009 0.7862 0.8492 (multiplicity 1)
37 O 0.5358 0.1345 0.1685 (multiplicity 1)
38 O 0.5790 0.9512 0.4852 (multiplicity 1)
39 O 0.5837 0.8161 0.3251 (multiplicity 1)
40 O 0.7352 0.2793 0.5225 (multiplicity 1)
41 O 0.7353 0.4496 0.6580 (multiplicity 1)
42 O 0.7370 0.1484 0.8241 (multiplicity 1)
43 O 0.7718 0.4488 0.1756 (multiplicity 1)
44 O 0.8164 0.6309 0.8543 (multiplicity 1)
45 O 0.8181 0.7790 0.0052 (multiplicity 1)
46 O 0.9471 0.8097 0.3286 (multiplicity 1)
47 O 0.9488 0.9472 0.4909 (multiplicity 1)
48 O 0.9850 0.1372 0.1709 (multiplicity 1)

Largest 6 diffraction maxima, in order of rising 2θ, 2θ = 5–70°:
d (Å), I/Imax
5.143, 39
5.100, 27
3.334, 78
2.979, 46
2.953, 100
2.773, 28



Record 3
Theoretical powder X-ray diffraction pattern of Tb2S2O for Cu Kα (λ = 1.5418 Å), from a DFT-relaxed cell (GGA-PBE, the Materials Project).
Neutral-atom scattering factors, no anomalous dispersion.

Structural model:
Cell: 8.3181 6.9644 6.9151 Å, 90.00 99.36 90.00°
Space group P2_1/c (No. 14)
One atom of each set of equivalent atoms:
1 Tb 0.0767 0.1418 0.3195 (multiplicity 4)
2 Tb 0.3627 0.5540 0.2498 (multiplicity 4)
3 S 0.1806 0.6358 0.5738 (multiplicity 4)
4 S 0.4232 0.2227 0.4701 (multiplicity 4)
5 O 0.1171 0.0875 0.6495 (multiplicity 4)

Largest 6 diffraction maxima, in order of rising 2θ, 2θ = 5–70°:
d (Å), I/Imax
4.422, 34
3.411, 41
3.336, 52
3.102, 65
2.974, 100
2.327, 28



Record 4
Theoretical powder X-ray diffraction pattern of Er2InNi2 for Cu Kα (λ = 1.5418 Å), from a DFT-relaxed cell (GGA-PBE, the Materials Project).
Neutral-atom scattering factors, no anomalous dispersion.

Structural model:
Cell: 3.9222 14.1668 3.5880 Å, 90.00 90.00 90.00°
Space group Cmmm (No. 65)
One atom of each set of equivalent atoms:
1 Er 0.0000 0.1394 0.0000 (multiplicity 4)
2 In 0.0000 0.5000 0.5000 (multiplicity 2)
3 Ni 0.0000 0.3009 0.5000 (multiplicity 4)

Largest 6 diffraction maxima, in order of rising 2θ, 2θ = 5–70°:
d (Å), I/Imax
3.017, 48
2.602, 100
2.521, 72
2.309, 40
2.297, 32
1.548, 32



Record 5
Theoretical powder X-ray diffraction pattern of BaEuZrSnO6 for Cu Kα (λ = 1.5418 Å), from a DFT-relaxed cell (GGA-PBE, the Materials Project).
Neutral-atom scattering factors, no anomalous dispersion.

Structural model:
Cell: 8.3717 8.3717 8.3717 Å, 90.00 90.00 90.00°
Space group F-43m (No. 216)
One atom of each set of equivalent atoms:
1 Ba 0.0000 0.0000 0.0000 (multiplicity 4)
2 Eu 0.0000 0.0000 0.5000 (multiplicity 4)
3 Zr 0.2500 0.2500 0.2500 (multiplicity 4)
4 Sn 0.2500 0.2500 0.7500 (multiplicity 4)
5 O 0.0016 0.2500 0.7500 (multiplicity 24)

Largest 6 diffraction maxima, in order of rising 2θ, 2θ = 5–70°:
d (Å), I/Imax
4.833, 1
2.960, 100
2.417, 5
2.093, 30
1.709, 41
1.480, 19



Record 6
Theoretical powder X-ray diffraction pattern of CaLaAl4 for Cu Kα (λ = 1.5418 Å), from a DFT-relaxed cell (GGA-PBE, the Materials Project).
Neutral-atom scattering factors, no anomalous dispersion.

Structural model:
Cell: 8.0877 8.0877 8.0877 Å, 90.00 90.00 90.00°
Space group F-43m (No. 216)
One atom of each set of equivalent atoms:
1 Ca 0.0000 0.0000 0.0000 (multiplicity 4)
2 La 0.2500 0.2500 0.2500 (multiplicity 4)
3 Al 0.1250 0.1250 0.6250 (multiplicity 16)

Largest 6 diffraction maxima, in order of rising 2θ, 2θ = 5–70°:
d (Å), I/Imax
4.669, 45
4.044, 22
2.859, 68
2.439, 100
1.651, 25
1.556, 32



Record 7
Theoretical powder X-ray diffraction pattern of BaYF5 for Cu Kα (λ = 1.5418 Å), from a DFT-relaxed cell (GGA-PBE, the Materials Project).
Neutral-atom scattering factors, no anomalous dispersion.

Structural model:
Cell: 5.6245 9.8056 8.3439 Å, 90.00 92.83 90.00°
Space group P2_1 (No. 4)
One atom of each set of equivalent atoms:
1 Ba 0.0007 0.0000 0.2568 (multiplicity 2)
2 Ba 0.4981 0.7321 0.9941 (multiplicity 2)
3 Y 0.0045 0.4933 0.2620 (multiplicity 2)
4 Y 0.4678 0.7493 0.4592 (multiplicity 2)
5 F 0.0997 0.7770 0.8189 (multiplicity 2)
6 F 0.1438 0.6199 0.4903 (multiplicity 2)
7 F 0.1742 0.7211 0.2192 (multiplicity 2)
8 F 0.1890 0.0277 0.9803 (multiplicity 2)
9 F 0.2290 0.9143 0.5260 (multiplicity 2)
10 F 0.2399 0.3712 0.4314 (multiplicity 2)
11 F 0.2825 0.4665 0.0804 (multiplicity 2)
12 F 0.3177 0.1287 0.7041 (multiplicity 2)
13 F 0.4245 0.1523 0.3099 (multiplicity 2)
14 F 0.4369 0.3874 0.7466 (multiplicity 2)

Largest 6 diffraction maxima, in order of rising 2θ, 2θ = 5–70°:
d (Å), I/Imax
3.694, 100
3.429, 36
3.270, 30
3.175, 48
2.144, 29
1.962, 22



Record 8
Theoretical powder X-ray diffraction pattern of Th7S12 for Cu Kα (λ = 1.5418 Å), from a DFT-relaxed cell (GGA-PBE, the Materials Project).
Neutral-atom scattering factors, no anomalous dispersion.

Structural model:
Cell: 11.1488 11.1488 3.9913 Å, 90.00 90.00 120.00°
Space group P-6 (No. 174)
One atom of each set of equivalent atoms:
1 Th 0.0000 0.0000 0.0000 (multiplicity 1)
2 Th 0.1492 0.7164 0.0000 (multiplicity 3)
3 Th 0.4395 0.1531 0.5000 (multiplicity 3)
4 S 0.0052 0.7918 0.5000 (multiplicity 3)
5 S 0.1417 0.5228 0.5000 (multiplicity 3)
6 S 0.2526 0.0038 0.0000 (multiplicity 3)
7 S 0.5139 0.3735 0.0000 (multiplicity 3)

Largest 6 diffraction maxima, in order of rising 2θ, 2θ = 5–70°:
d (Å), I/Imax
3.689, 33
3.649, 100
2.693, 33
2.224, 27
2.107, 35
1.751, 27